Diffraction record for Pm5Sn3O. The X-ray diffraction stick pattern is calculated, not measured: it uses a crystal structure in Alexandria, relaxed with PBE and Cu Ka.
Neutral-atom scattering factors, no anomalous dispersion.

a b c (Å): 9.1846 9.1846 6.5707
angles (deg): 90.00 90.00 120.00
Fractional coordinates of all 18 atoms:
Pm1 0.0000 0.2226 0.2500
Pm2 0.0000 0.7774 0.7500
Pm3 0.2226 0.0000 0.2500
Pm4 0.2226 0.2226 0.7500
Pm5 0.3333 0.6667 0.0000
Pm6 0.3333 0.6667 0.5000
Pm7 0.6667 0.3333 0.0000
Pm8 0.6667 0.3333 0.5000
Pm9 0.7774 0.0000 0.7500
Pm10 0.7774 0.7774 0.2500
Sn1 0.0000 0.3992 0.7500
Sn2 0.0000 0.6008 0.2500
Sn3 0.3992 0.0000 0.7500
Sn4 0.3992 0.3992 0.2500
Sn5 0.6008 0.0000 0.2500
Sn6 0.6008 0.6008 0.7500
O1 0.0000 0.0000 0.0000
O2 0.0000 0.0000 0.5000

Largest 8 diffraction maxima, sorted by position, 5 to 70 degrees two-theta:
two_theta, I (rel.)
29.4, 18
29.7, 32
32.8, 100
33.5, 63
33.8, 26
48.4, 18
51.6, 28
65.2, 23

***

Diffraction record for Pm2SnO. The X-ray diffraction stick pattern is calculated, not measured: it uses a crystal structure in Alexandria, relaxed with PBE and Cu Ka.
Neutral-atom scattering factors, no anomalous dispersion.

a b c (Å): 4.6323 4.6323 9.1024
angles (deg): 90.00 90.00 90.00
Fractional coordinates of all 8 atoms:
Pm1 0.2500 0.2500 0.1644
Pm2 0.2500 0.7500 0.5000
Pm3 0.7500 0.2500 0.5000
Pm4 0.7500 0.7500 0.8356
Sn1 0.2500 0.2500 0.7985
Sn2 0.7500 0.7500 0.2015
O1 0.2500 0.2500 0.4227
O2 0.7500 0.7500 0.5773

Largest 8 diffraction maxima, sorted by position, 5 to 70 degrees two-theta:
two_theta, I (rel.)
29.0, 93
29.4, 58
33.7, 100
38.9, 67
49.5, 56
58.0, 27
64.7, 28
67.1, 28

***

Diffraction record for Pm3SnO6. The X-ray diffraction stick pattern is calculated, not measured: it uses a crystal structure in Alexandria, relaxed with PBE and Cu Ka.
Neutral-atom scattering factors, no anomalous dispersion.

a b c (Å): 6.9347 6.9347 6.9347
angles (deg): 93.02 93.02 93.02
Fractional coordinates of all 20 atoms:
Pm1 0.0610 0.5691 0.7547
Pm2 0.2453 0.9390 0.4309
Pm3 0.4309 0.2453 0.9390
Pm4 0.5691 0.7547 0.0610
Pm5 0.7547 0.0610 0.5691
Pm6 0.9390 0.4309 0.2453
Sn1 0.0000 0.0000 0.0000
Sn2 0.5000 0.5000 0.5000
O1 0.0341 0.9137 0.7061
O2 0.0863 0.2939 0.9659
O3 0.1673 0.6117 0.4390
O4 0.2939 0.9659 0.0863
O5 0.3883 0.5610 0.8327
O6 0.4390 0.1673 0.6117
O7 0.5610 0.8327 0.3883
O8 0.6117 0.4390 0.1673
O9 0.7061 0.0341 0.9137
O10 0.8327 0.3883 0.5610
O11 0.9137 0.7061 0.0341
O12 0.9659 0.0863 0.2939

Largest 8 diffraction maxima, sorted by position, 5 to 70 degrees two-theta:
two_theta, I (rel.)
23.5, 37
25.8, 26
28.2, 100
29.5, 36
31.4, 71
42.0, 35
47.8, 34
51.6, 20